Diffraction record for YTmSi2Pd. The powder X-ray diffraction pattern is calculated, not measured: it uses a DFT-relaxed cell (PBE, OQMD) and Cu Kα.
Lines closer than 0.1° are merged.

Atomic structure:
```
10
Lattice="5.232 -2.113 0.000 5.232 2.113 0.000 -4.684 0.000 8.856" Properties=species:S:1:pos:R:3 pbc="T T T"
Y 1.454 0.000 0.941
Y 4.326 0.000 7.914
Tm -1.498 0.000 2.879
Tm 7.278 0.000 5.977
Si 1.823 0.000 3.846
Si 4.500 0.000 1.024
Si 1.280 0.000 7.831
Si 3.957 0.000 5.010
Pd -0.106 0.000 5.636
Pd 5.886 0.000 3.219
```

Principal peaks in the range 2θ from 10° to 90°, most intense first:
33.72°, d 2.658, I 100
33.98°, d 2.638, I 92
37.43°, d 2.403, I 85
41.19°, d 2.192, I 78
23.14°, d 3.844, I 62
42.79°, d 2.113, I 60
34.53°, d 2.598, I 49
30.28°, d 2.952, I 32
73.02°, d 1.296, I 28
38.95°, d 2.313, I 28

***

Diffraction record for La2ZnGa7. The powder X-ray diffraction pattern is calculated, not measured: it uses a DFT-relaxed cell (PBE, OQMD) and Cu Kα.
Lines closer than 0.1° are merged.

Atomic structure:
```
10
Lattice="4.432 0.000 0.000 0.000 4.432 0.000 0.000 0.000 10.462" Properties=species:S:1:pos:R:3 pbc="T T T"
La 0.000 2.216 2.621
La 2.216 0.000 7.842
Zn 0.000 0.000 5.231
Ga 0.000 0.000 0.000
Ga 0.000 2.216 6.592
Ga 0.000 2.216 9.080
Ga 2.216 0.000 1.383
Ga 2.216 0.000 3.871
Ga 2.216 2.216 0.000
Ga 2.216 2.216 5.231
```

Principal peaks in the range 2θ from 10° to 90°, most intense first:
33.33°, d 2.688, I 100
32.67°, d 2.741, I 63
40.72°, d 2.216, I 61
53.15°, d 1.723, I 31
48.09°, d 1.892, I 27
69.42°, d 1.354, I 23
64.79°, d 1.439, I 22
58.94°, d 1.567, I 20
28.48°, d 3.134, I 17
86.39°, d 1.126, I 13

***

Diffraction record for Mg2Tl4Pd. The powder X-ray diffraction pattern is calculated, not measured: it uses a DFT-relaxed cell (PBE, OQMD) and Cu Kα.
Lines closer than 0.1° are merged.

Atomic structure:
```
7
Lattice="4.189 -5.852 0.000 4.189 5.852 0.000 -0.017 0.000 3.817" Properties=species:S:1:pos:R:3 pbc="T T T"
Mg 2.095 2.926 0.000
Mg 2.095 -2.926 0.000
Tl 4.181 4.006 1.909
Tl 2.153 0.000 3.808
Tl 6.209 0.000 0.009
Tl 4.181 -4.006 1.909
Pd 4.181 0.000 1.909
```

Principal peaks in the range 2θ from 10° to 90°, most intense first:
25.18°, d 3.537, I 100
31.64°, d 2.828, I 93
31.78°, d 2.815, I 92
34.57°, d 2.594, I 74
57.43°, d 1.605, I 53
15.14°, d 5.852, I 51
26.16°, d 3.406, I 51
37.49°, d 2.399, I 48
46.58°, d 1.950, I 47
38.78°, d 2.322, I 45

***

Diffraction record for CuAg2. The powder X-ray diffraction pattern is calculated, not measured: it uses a DFT-relaxed cell (PBE, OQMD) and Cu Kα.
Lines closer than 0.1° are merged.

Atomic structure:
```
9
Lattice="-1.433 5.954 4.239 1.433 -5.954 4.239 1.433 5.954 -4.239" Properties=species:S:1:pos:R:3 pbc="T T T"
Cu 0.000 0.000 0.000
Cu 1.433 1.924 -1.306
Cu 0.000 4.030 2.933
Ag 1.433 -1.962 1.424
Ag 1.433 1.962 1.424
Ag 0.000 3.931 0.050
Ag 0.000 0.000 2.870
Ag 0.000 7.977 0.050
Ag 0.000 0.000 5.842
```

Principal peaks in the range 2θ from 10° to 90°, most intense first:
38.76°, d 2.323, I 100
39.13°, d 2.302, I 93
45.06°, d 2.012, I 61
66.13°, d 1.413, I 45
45.71°, d 1.985, I 30
78.66°, d 1.216, I 22
79.38°, d 1.207, I 20
79.85°, d 1.201, I 11
80.09°, d 1.198, I 10
65.11°, d 1.433, I 10

***

Diffraction record for TbYAg2Te4. The powder X-ray diffraction pattern is calculated, not measured: it uses a DFT-relaxed cell (PBE, OQMD) and Cu Kα.
Lines closer than 0.1° are merged.

Atomic structure:
```
8
Lattice="5.034 -5.036 0.000 5.034 5.036 0.000 0.000 0.000 4.736" Properties=species:S:1:pos:R:3 pbc="T T T"
Tb 0.000 0.000 0.000
Y 5.034 0.000 2.873
Ag 2.517 2.518 3.805
Ag 2.517 -2.518 3.805
Te 2.031 0.000 2.448
Te 5.034 2.029 0.427
Te 5.034 -2.029 0.427
Te 8.037 0.000 2.448
```

Principal peaks in the range 2θ from 10° to 90°, most intense first:
25.83°, d 3.449, I 100
35.67°, d 2.517, I 63
33.92°, d 2.642, I 57
31.44°, d 2.846, I 45
42.61°, d 2.122, I 45
42.18°, d 2.143, I 30
28.02°, d 3.184, I 28
44.56°, d 2.034, I 20
46.02°, d 1.972, I 18
74.51°, d 1.273, I 18

***

Diffraction record for LaSmNi6B2Pt2. The powder X-ray diffraction pattern is calculated, not measured: it uses a DFT-relaxed cell (PBE, OQMD) and Cu Kα.
Lines closer than 0.1° are merged.

Atomic structure:
```
12
Lattice="5.174 0.000 0.000 -2.587 4.481 0.000 0.000 0.000 7.166" Properties=species:S:1:pos:R:3 pbc="T T T"
La 0.000 0.000 0.000
Sm 0.000 0.000 3.583
Ni -1.293 2.240 1.399
Ni -1.293 2.240 5.767
Ni 2.587 0.000 1.399
Ni 2.587 0.000 5.767
Ni 1.293 2.240 1.399
Ni 1.293 2.240 5.767
B 0.000 2.987 0.000
B 2.587 1.494 0.000
Pt 0.000 2.987 3.583
Pt 2.587 1.494 3.583
```

Principal peaks in the range 2θ from 10° to 90°, most intense first:
43.13°, d 2.097, I 100
34.68°, d 2.587, I 46
36.94°, d 2.433, I 45
12.35°, d 7.166, I 31
68.00°, d 1.379, I 26
63.12°, d 1.473, I 23
40.26°, d 2.240, I 22
37.66°, d 2.389, I 20
73.17°, d 1.293, I 19
24.85°, d 3.583, I 17

***

Diffraction record for Ta3Al10. The powder X-ray diffraction pattern is calculated, not measured: it uses a DFT-relaxed cell (PBE, OQMD) and Cu Kα.
Lines closer than 0.1° are merged.

Atomic structure:
```
13
Lattice="2.642 1.525 9.041 -2.642 1.525 9.041 0.000 -3.050 9.041" Properties=species:S:1:pos:R:3 pbc="T T T"
Ta 0.000 0.000 0.000
Ta 0.000 0.000 9.546
Ta 0.000 0.000 17.579
Al 0.000 -1.495 6.937
Al -1.295 0.748 6.937
Al 0.000 0.000 4.545
Al -1.295 -0.748 20.188
Al 0.000 0.000 12.314
Al 0.000 0.000 14.810
Al 1.295 0.748 6.937
Al 0.000 0.000 22.579
Al 1.295 -0.748 20.188
Al 0.000 1.495 20.188
```

Principal peaks in the range 2θ from 10° to 90°, most intense first:
39.51°, d 2.281, I 100
33.94°, d 2.642, I 82
35.40°, d 2.536, I 74
41.61°, d 2.170, I 49
19.64°, d 4.521, I 34
45.67°, d 1.987, I 28
64.48°, d 1.445, I 22
65.98°, d 1.416, I 22
32.88°, d 2.724, I 19
71.42°, d 1.321, I 18

***

Diffraction record for HfZrAl2Pd4. The powder X-ray diffraction pattern is calculated, not measured: it uses a DFT-relaxed cell (PBE, OQMD) and Cu Kα.
Lines closer than 0.1° are merged.

Atomic structure:
```
8
Lattice="4.293 0.000 0.000 -2.147 3.718 0.000 0.000 0.000 8.599" Properties=species:S:1:pos:R:3 pbc="T T T"
Hf 0.000 0.000 0.000
Zr 2.147 1.239 4.300
Al 0.000 2.479 2.148
Al 0.000 2.479 6.451
Pd 0.000 0.000 2.873
Pd 0.000 0.000 5.726
Pd 2.147 1.239 1.395
Pd 2.147 1.239 7.204
```

Principal peaks in the range 2θ from 10° to 90°, most intense first:
39.71°, d 2.270, I 100
42.09°, d 2.147, I 65
23.93°, d 3.718, I 48
59.24°, d 1.560, I 31
75.32°, d 1.262, I 30
80.60°, d 1.192, I 14
76.93°, d 1.239, I 11
70.42°, d 1.337, I 9
48.99°, d 1.859, I 8
10.29°, d 8.599, I 8

***

Diffraction record for NdSmSbBr2. The powder X-ray diffraction pattern is calculated, not measured: it uses a DFT-relaxed cell (PBE, OQMD) and Cu Kα.
Lines closer than 0.1° are merged.

Atomic structure:
```
5
Lattice="4.339 0.000 0.000 -2.169 3.758 0.000 0.000 0.000 11.035" Properties=species:S:1:pos:R:3 pbc="T T T"
Nd 0.000 0.000 0.000
Sm 2.169 1.253 7.461
Sb 0.000 2.505 9.218
Br 0.000 0.000 5.738
Br 2.169 1.253 1.765
```

Principal peaks in the range 2θ from 10° to 90°, most intense first:
28.74°, d 3.106, I 100
40.57°, d 2.224, I 39
41.63°, d 2.169, I 36
51.37°, d 1.779, I 20
68.18°, d 1.375, I 17
66.67°, d 1.403, I 16
34.11°, d 2.629, I 14
75.25°, d 1.263, I 12
59.53°, d 1.553, I 12
25.03°, d 3.557, I 11

***

Diffraction record for Er2ReC2. The powder X-ray diffraction pattern is calculated, not measured: it uses a DFT-relaxed cell (PBE, OQMD) and Cu Kα.
Lines closer than 0.1° are merged.

Atomic structure:
```
20
Lattice="6.529 0.000 0.000 0.000 5.054 0.000 0.000 0.000 9.769" Properties=species:S:1:pos:R:3 pbc="T T T"
Er 0.220 1.263 2.117
Er 1.165 1.263 5.441
Er 2.099 3.790 0.556
Er 3.045 3.790 7.002
Er 3.484 1.263 2.767
Er 4.430 1.263 9.213
Er 5.364 3.790 4.328
Er 6.309 3.790 7.652
Re 1.426 1.263 8.481
Re 1.838 3.790 3.597
Re 4.691 1.263 6.172
Re 5.103 3.790 1.288
C 0.317 3.790 2.354
C 1.141 3.790 5.402
C 2.123 1.263 0.517
C 2.948 1.263 7.239
C 3.581 3.790 2.530
C 4.406 3.790 9.252
C 5.388 1.263 4.367
C 6.213 1.263 7.415
```

Principal peaks in the range 2θ from 10° to 90°, most intense first:
32.70°, d 2.739, I 100
35.54°, d 2.526, I 98
33.96°, d 2.640, I 79
59.79°, d 1.547, I 28
33.00°, d 2.714, I 22
62.79°, d 1.480, I 21
62.02°, d 1.496, I 17
39.07°, d 2.306, I 15
30.68°, d 2.914, I 15
49.27°, d 1.849, I 15

***

Diffraction record for YTm3Sc2Sb2Os. The powder X-ray diffraction pattern is calculated, not measured: it uses a DFT-relaxed cell (PBE, OQMD) and Cu Kα.
Lines closer than 0.1° are merged.

Atomic structure:
```
9
Lattice="4.103 0.000 0.000 0.000 6.928 3.986 0.000 -6.928 3.986" Properties=species:S:1:pos:R:3 pbc="T T T"
Y 0.000 0.000 0.000
Tm 2.051 -1.653 2.216
Tm 2.051 1.653 2.216
Tm 2.051 0.000 5.101
Sc 0.000 -2.678 4.690
Sc 0.000 2.678 4.690
Sb 2.051 -4.560 3.141
Sb 2.051 4.560 3.141
Os 0.000 0.000 3.236
```

Principal peaks in the range 2θ from 10° to 90°, most intense first:
40.94°, d 2.205, I 100
33.90°, d 2.644, I 83
31.26°, d 2.861, I 67
12.80°, d 6.919, I 64
34.28°, d 2.616, I 36
22.27°, d 3.992, I 27
44.15°, d 2.051, I 26
39.11°, d 2.303, I 24
57.07°, d 1.614, I 24
62.74°, d 1.481, I 22

***

Diffraction record for Y4PAuN2. The powder X-ray diffraction pattern is calculated, not measured: it uses a DFT-relaxed cell (PBE, OQMD) and Cu Kα.
Lines closer than 0.1° are merged.

Atomic structure:
```
8
Lattice="3.641 0.000 0.000 -1.820 3.153 0.000 0.000 0.000 13.399" Properties=species:S:1:pos:R:3 pbc="T T T"
Y 0.000 0.000 1.813
Y 0.000 0.000 11.586
Y 0.000 2.102 4.528
Y 0.000 2.102 8.871
P 0.000 2.102 0.000
Au 0.000 0.000 6.700
N 1.820 1.051 3.213
N 1.820 1.051 10.186
```

Principal peaks in the range 2θ from 10° to 90°, most intense first:
34.83°, d 2.576, I 100
50.09°, d 1.821, I 38
28.30°, d 3.153, I 33
31.35°, d 2.853, I 25
62.47°, d 1.487, I 18
84.06°, d 1.151, I 16
44.36°, d 2.042, I 15
66.23°, d 1.411, I 13
62.82°, d 1.479, I 10
40.39°, d 2.233, I 9